Starting from the GGA-PBE geometry in Alexandria, the X-ray powder pattern of HoCoSn3 was simulated for Cu Kα X-rays.
No peak broadening, texture or thermal motion is included.

```
HoCoSn3
1.0
12.2134 0.0000 0.0000
0.0000 6.1313 0.0000
0.0000 0.0000 5.9807
Ho Co Sn
4 4 12
Direct
0.2015 0.0251 0.2500 Ho
0.2015 0.4749 0.7500 Ho
0.7985 0.5251 0.2500 Ho
0.7985 0.9749 0.7500 Ho
0.3868 0.2500 0.0000 Co
0.3868 0.2500 0.5000 Co
0.6132 0.7500 0.0000 Co
0.6132 0.7500 0.5000 Co
0.0065 0.7500 0.0000 Sn
0.0065 0.7500 0.5000 Sn
0.2767 0.5263 0.2500 Sn
0.2767 0.9737 0.7500 Sn
0.4525 0.5847 0.7500 Sn
0.4525 0.9153 0.2500 Sn
0.5475 0.0847 0.7500 Sn
0.5475 0.4153 0.2500 Sn
0.7233 0.0263 0.2500 Sn
0.7233 0.4737 0.7500 Sn
0.9935 0.2500 0.0000 Sn
0.9935 0.2500 0.5000 Sn
```

The 8 most intense peaks (10° ≤ 2θ ≤ 80°), by angle:
| 2θ (°) | d (Å) | Rel. int. |
| --- | --- | --- |
| 29.25 | 3.053 | 21.4 |
| 32.69 | 2.740 | 49.7 |
| 33.36 | 2.686 | 36.1 |
| 36.12 | 2.487 | 100.0 |
| 36.73 | 2.447 | 34.3 |
| 37.31 | 2.410 | 31.2 |
| 42.22 | 2.140 | 69.0 |
| 57.19 | 1.611 | 38.5 |

***

Starting from the GGA-PBE geometry in Alexandria, the X-ray powder pattern of Ho2Co4Sn3 was simulated for Cu Kα X-rays.
No peak broadening, texture or thermal motion is included.

```
Ho2Co4Sn3
1.0
2.9150 -8.0186 0.0000
2.9150 8.0186 0.0000
0.0000 0.0000 6.8386
Ho Co Sn
4 8 6
Direct
0.1009 0.8991 0.9182 Ho
0.3991 0.6009 0.4182 Ho
0.6009 0.3991 0.5818 Ho
0.8991 0.1009 0.0818 Ho
0.1632 0.8368 0.5104 Co
0.1725 0.3275 0.7500 Co
0.3275 0.1725 0.2500 Co
0.3368 0.6632 0.0104 Co
0.6632 0.3368 0.9896 Co
0.6725 0.8275 0.7500 Co
0.8275 0.6725 0.2500 Co
0.8368 0.1632 0.4896 Co
0.0000 0.0000 0.5000 Sn
0.0103 0.4897 0.7500 Sn
0.4897 0.0103 0.2500 Sn
0.5000 0.5000 0.0000 Sn
0.5103 0.9897 0.7500 Sn
0.9897 0.5103 0.2500 Sn
```

The 8 most intense peaks (10° ≤ 2θ ≤ 80°), by angle:
| 2θ (°) | d (Å) | Rel. int. |
| --- | --- | --- |
| 28.38 | 3.145 | 27.2 |
| 32.69 | 2.740 | 25.9 |
| 34.50 | 2.600 | 100.0 |
| 34.74 | 2.582 | 27.5 |
| 35.29 | 2.543 | 33.2 |
| 40.67 | 2.218 | 79.1 |
| 41.17 | 2.193 | 27.1 |
| 42.96 | 2.106 | 30.2 |

***

Starting from the GGA-PBE geometry in Alexandria, the X-ray powder pattern of Ho7Co2Sn was simulated for Cu Kα X-rays.
No peak broadening, texture or thermal motion is included.

```
Ho7Co2Sn
1.0
4.4339 -6.6371 0.0000
4.4339 6.6371 0.0000
0.0000 0.0000 4.8934
Ho Co Sn
7 2 1
Direct
0.0000 0.0000 0.0000 Ho
0.1839 0.4471 0.0000 Ho
0.2099 0.7901 0.5000 Ho
0.4471 0.1839 0.0000 Ho
0.5529 0.8161 0.0000 Ho
0.7901 0.2099 0.5000 Ho
0.8161 0.5529 0.0000 Ho
0.2036 0.7964 0.0000 Co
0.7964 0.2036 0.0000 Co
0.5000 0.5000 0.5000 Sn
```

The 8 most intense peaks (10° ≤ 2θ ≤ 80°), by angle:
| 2θ (°) | d (Å) | Rel. int. |
| --- | --- | --- |
| 18.13 | 4.893 | 50.5 |
| 27.14 | 3.286 | 56.2 |
| 29.01 | 3.078 | 100.0 |
| 32.60 | 2.747 | 51.2 |
| 33.74 | 2.657 | 79.2 |
| 36.14 | 2.485 | 63.5 |
| 36.73 | 2.447 | 67.8 |
| 50.72 | 1.800 | 50.4 |

***

Starting from the GGA-PBE geometry in Alexandria, the X-ray powder pattern of HoCoSn4 was simulated for Cu Kα X-rays.
No peak broadening, texture or thermal motion is included.

```
HoCoSn4
1.0
2.1896 -14.4103 0.0000
2.1896 14.4103 0.0000
0.0000 0.0000 4.3865
Ho Co Sn
2 2 8
Direct
0.1927 0.8073 0.0000 Ho
0.8073 0.1927 0.0000 Ho
0.4499 0.5501 0.5000 Co
0.5501 0.4499 0.5000 Co
0.0000 0.0000 0.5000 Sn
0.1079 0.8921 0.5000 Sn
0.2854 0.7146 0.5000 Sn
0.3919 0.6081 0.0000 Sn
0.5000 0.5000 0.0000 Sn
0.6081 0.3919 0.0000 Sn
0.7146 0.2854 0.5000 Sn
0.8921 0.1079 0.5000 Sn
```

The 8 most intense peaks (10° ≤ 2θ ≤ 80°), by angle:
| 2θ (°) | d (Å) | Rel. int. |
| --- | --- | --- |
| 30.30 | 2.949 | 32.0 |
| 31.03 | 2.882 | 48.1 |
| 32.81 | 2.730 | 100.0 |
| 36.28 | 2.476 | 77.7 |
| 40.51 | 2.227 | 41.5 |
| 41.19 | 2.191 | 94.3 |
| 52.45 | 1.744 | 45.9 |
| 59.67 | 1.550 | 32.1 |

***

Starting from the GGA-PBE geometry in Alexandria, the X-ray powder pattern of HoCoSn6 was simulated for Cu Kα X-rays.
No peak broadening, texture or thermal motion is included.

```
HoCoSn6
1.0
7.2327 0.0000 0.0000
0.0000 9.3127 0.0000
-1.6658 0.0000 6.0798
Ho Co Sn
2 2 12
Direct
0.0000 0.0000 0.0000 Ho
0.5000 0.5000 0.0000 Ho
0.0000 0.5000 0.5000 Co
0.5000 0.0000 0.5000 Co
0.1004 0.3024 0.7912 Sn
0.1004 0.6976 0.7912 Sn
0.2035 0.0000 0.6301 Sn
0.2965 0.5000 0.3699 Sn
0.3996 0.1976 0.2088 Sn
0.3996 0.8024 0.2088 Sn
0.6004 0.1976 0.7912 Sn
0.6004 0.8024 0.7912 Sn
0.7035 0.5000 0.6301 Sn
0.7965 0.0000 0.3699 Sn
0.8996 0.3024 0.2088 Sn
0.8996 0.6976 0.2088 Sn
```

The 8 most intense peaks (10° ≤ 2θ ≤ 80°), by angle:
| 2θ (°) | d (Å) | Rel. int. |
| --- | --- | --- |
| 30.36 | 2.944 | 55.2 |
| 31.55 | 2.836 | 53.0 |
| 32.34 | 2.769 | 43.3 |
| 32.81 | 2.730 | 65.2 |
| 35.26 | 2.545 | 47.1 |
| 36.37 | 2.471 | 64.4 |
| 38.89 | 2.316 | 100.0 |
| 63.27 | 1.470 | 27.2 |

***

Starting from the GGA-PBE geometry in Alexandria, the X-ray powder pattern of Ho3Co8Sn4 was simulated for Cu Kα X-rays.
No peak broadening, texture or thermal motion is included.

```
Ho3Co8Sn4
1.0
8.8866 0.0000 0.0000
-4.4433 7.6961 0.0000
0.0000 0.0000 7.4211
Ho Co Sn
6 16 8
Direct
0.0602 0.5301 0.0000 Ho
0.4699 0.5301 0.0000 Ho
0.4699 0.9398 0.0000 Ho
0.5301 0.0602 0.5000 Ho
0.5301 0.4699 0.5000 Ho
0.9398 0.4699 0.5000 Ho
0.0000 0.0000 0.2218 Co
0.0000 0.0000 0.7218 Co
0.0980 0.1961 0.9766 Co
0.0980 0.9020 0.9766 Co
0.1594 0.3188 0.6694 Co
0.1594 0.8406 0.6694 Co
0.1961 0.0980 0.4766 Co
0.3188 0.1594 0.1694 Co
0.3333 0.6667 0.2820 Co
0.6667 0.3333 0.7820 Co
0.6812 0.8406 0.6694 Co
0.8039 0.9020 0.9766 Co
0.8406 0.1594 0.1694 Co
0.8406 0.6812 0.1694 Co
0.9020 0.0980 0.4766 Co
0.9020 0.8039 0.4766 Co
0.1717 0.3435 0.2974 Sn
0.1717 0.8283 0.2974 Sn
0.3333 0.6667 0.6636 Sn
0.3435 0.1717 0.7974 Sn
0.6565 0.8283 0.2974 Sn
0.6667 0.3333 0.1636 Sn
0.8283 0.1717 0.7974 Sn
0.8283 0.6565 0.7974 Sn
```

The 8 most intense peaks (10° ≤ 2θ ≤ 80°), by angle:
| 2θ (°) | d (Å) | Rel. int. |
| --- | --- | --- |
| 33.08 | 2.708 | 39.2 |
| 33.55 | 2.671 | 100.0 |
| 37.08 | 2.425 | 47.0 |
| 38.22 | 2.355 | 33.8 |
| 39.36 | 2.289 | 26.5 |
| 40.61 | 2.222 | 86.7 |
| 43.49 | 2.081 | 18.2 |
| 64.88 | 1.437 | 36.6 |

***

Starting from the GGA-PBE geometry in Alexandria, the X-ray powder pattern of Tb2Ho6Co was simulated for Cu Kα X-rays.
No peak broadening, texture or thermal motion is included.

```
Tb2Ho6Co
1.0
4.5618 -8.4965 0.0000
4.5618 8.4965 0.0000
0.0000 0.0000 3.5839
Tb Ho Co
2 6 1
Direct
0.1698 0.8302 0.0000 Tb
0.8302 0.1698 0.0000 Tb
0.1667 0.4987 0.5000 Ho
0.2950 0.2950 0.0000 Ho
0.4987 0.1667 0.5000 Ho
0.5013 0.8333 0.5000 Ho
0.7050 0.7050 0.0000 Ho
0.8333 0.5013 0.5000 Ho
0.5000 0.5000 0.5000 Co
```

The 8 most intense peaks (10° ≤ 2θ ≤ 80°), by angle:
| 2θ (°) | d (Å) | Rel. int. |
| --- | --- | --- |
| 11.01 | 8.038 | 24.9 |
| 29.85 | 2.994 | 39.2 |
| 31.11 | 2.874 | 71.3 |
| 31.59 | 2.832 | 70.7 |
| 33.48 | 2.677 | 100.0 |
| 38.33 | 2.348 | 39.9 |
| 42.11 | 2.146 | 29.2 |
| 59.11 | 1.563 | 22.3 |

***

Starting from the GGA-PBE geometry in Alexandria, the X-ray powder pattern of TbHo2Co9 was simulated for Cu Kα X-rays.
No peak broadening, texture or thermal motion is included.

```
TbHo2Co9
1.0
2.4873 1.4361 8.0940
-2.4873 1.4361 8.0940
0.0000 -2.8721 8.0940
Tb Ho Co
1 2 9
Direct
0.0000 0.0000 0.0000 Tb
0.1399 0.1399 0.1399 Ho
0.8601 0.8601 0.8601 Ho
0.0784 0.5832 0.5832 Co
0.3349 0.3349 0.3349 Co
0.4168 0.4168 0.9216 Co
0.4168 0.9216 0.4168 Co
0.5000 0.5000 0.5000 Co
0.5832 0.0784 0.5832 Co
0.5832 0.5832 0.0784 Co
0.6651 0.6651 0.6651 Co
0.9216 0.4168 0.4168 Co
```

The 8 most intense peaks (10° ≤ 2θ ≤ 80°), by angle:
| 2θ (°) | d (Å) | Rel. int. |
| --- | --- | --- |
| 33.16 | 2.702 | 48.7 |
| 36.15 | 2.485 | 93.2 |
| 42.11 | 2.146 | 36.6 |
| 42.66 | 2.119 | 100.0 |
| 63.07 | 1.474 | 15.3 |
| 64.97 | 1.435 | 23.2 |
| 69.45 | 1.353 | 21.4 |
| 76.61 | 1.244 | 19.8 |

***

Starting from the GGA-PBE geometry in Alexandria, the X-ray powder pattern of Tb2Ho5Co4 was simulated for Cu Kα X-rays.
No peak broadening, texture or thermal motion is included.

```
Tb2Ho5Co4
1.0
8.9454 -1.8553 0.0000
8.9454 1.8553 0.0000
-0.7404 0.0000 7.8369
Tb Ho Co
2 5 4
Direct
0.2422 0.2422 0.1649 Tb
0.7578 0.7578 0.8351 Tb
0.0820 0.0820 0.9143 Ho
0.1641 0.1641 0.5143 Ho
0.5000 0.5000 0.5000 Ho
0.8359 0.8359 0.4857 Ho
0.9180 0.9180 0.0857 Ho
0.0578 0.0578 0.2600 Co
0.3754 0.3754 0.7842 Co
0.6246 0.6246 0.2158 Co
0.9422 0.9422 0.7400 Co
```

The 8 most intense peaks (10° ≤ 2θ ≤ 80°), by angle:
| 2θ (°) | d (Å) | Rel. int. |
| --- | --- | --- |
| 24.51 | 3.633 | 17.2 |
| 31.17 | 2.870 | 100.0 |
| 33.27 | 2.693 | 37.5 |
| 34.33 | 2.612 | 24.2 |
| 35.69 | 2.515 | 85.6 |
| 36.75 | 2.445 | 19.5 |
| 46.27 | 1.962 | 22.6 |
| 49.11 | 1.855 | 22.7 |

***

Starting from the GGA-PBE geometry in Alexandria, the X-ray powder pattern of Ho7Co2Te2 was simulated for Cu Kα X-rays.
No peak broadening, texture or thermal motion is included.

```
Ho7Co2Te2
1.0
-1.9123 7.8180 4.7323
1.9123 -7.8180 4.7323
1.9123 7.8180 -4.7323
Ho Co Te
7 2 2
Direct
0.0000 0.0000 0.0000 Ho
0.0612 0.3761 0.6852 Ho
0.0795 0.7285 0.3511 Ho
0.3774 0.7285 0.6489 Ho
0.4459 0.5800 0.8659 Ho
0.6909 0.3761 0.3148 Ho
0.7141 0.5800 0.1341 Ho
0.3057 0.0685 0.2372 Co
0.8313 0.0685 0.7628 Co
0.3350 0.3350 0.0000 Te
0.7336 0.2336 0.5000 Te
```

The 8 most intense peaks (10° ≤ 2θ ≤ 80°), by angle:
| 2θ (°) | d (Å) | Rel. int. |
| --- | --- | --- |
| 28.92 | 3.087 | 37.9 |
| 30.59 | 2.922 | 52.1 |
| 33.19 | 2.699 | 83.2 |
| 34.14 | 2.626 | 100.0 |
| 34.41 | 2.606 | 26.6 |
| 34.72 | 2.583 | 52.0 |
| 47.55 | 1.912 | 29.3 |
| 59.22 | 1.560 | 31.9 |

***

Starting from the GGA-PBE geometry in Alexandria, the X-ray powder pattern of Ho12Co5Te was simulated for Cu Kα X-rays.
No peak broadening, texture or thermal motion is included.

```
Ho12Co5Te
1.0
-4.6586 4.7280 4.8988
4.6586 -4.7280 4.8988
4.6586 4.7280 -4.8988
Ho Co Te
12 5 1
Direct
0.0219 0.2135 0.8084 Ho
0.1795 0.2831 0.4626 Ho
0.1795 0.7169 0.8965 Ho
0.3193 0.0044 0.6851 Ho
0.3193 0.6342 0.3149 Ho
0.4051 0.2135 0.1916 Ho
0.5949 0.7865 0.8084 Ho
0.6807 0.3658 0.6851 Ho
0.6807 0.9956 0.3149 Ho
0.8205 0.2831 0.1035 Ho
0.8205 0.7169 0.5374 Ho
0.9781 0.7865 0.1916 Ho
0.0000 0.0000 0.0000 Co
0.1132 0.6132 0.5000 Co
0.3542 0.0000 0.3542 Co
0.6458 0.0000 0.6458 Co
0.8868 0.3868 0.5000 Co
0.5000 0.5000 0.0000 Te
```

The 8 most intense peaks (10° ≤ 2θ ≤ 80°), by angle:
| 2θ (°) | d (Å) | Rel. int. |
| --- | --- | --- |
| 28.95 | 3.084 | 31.5 |
| 29.78 | 3.001 | 30.9 |
| 30.29 | 2.951 | 37.0 |
| 32.59 | 2.747 | 100.0 |
| 34.87 | 2.573 | 55.8 |
| 35.20 | 2.550 | 61.0 |
| 35.58 | 2.523 | 36.0 |
| 60.76 | 1.524 | 30.7 |

***

Starting from the GGA-PBE geometry in Alexandria, the X-ray powder pattern of HoTh3Co8 was simulated for Cu Kα X-rays.
No peak broadening, texture or thermal motion is included.

```
HoTh3Co8
1.0
2.5431 1.4683 8.3194
-2.5431 1.4683 8.3194
0.0000 -2.9365 8.3194
Ho Th Co
1 3 8
Direct
0.0000 0.0000 0.0000 Ho
0.3710 0.3710 0.3710 Th
0.4973 0.4973 0.4973 Th
0.8763 0.8763 0.8763 Th
0.1864 0.1864 0.1864 Co
0.4363 0.9353 0.9353 Co
0.4380 0.4380 0.9349 Co
0.4380 0.9349 0.4380 Co
0.6858 0.6858 0.6858 Co
0.9353 0.4363 0.9353 Co
0.9349 0.4380 0.4380 Co
0.9353 0.9353 0.4363 Co
```

The 8 most intense peaks (10° ≤ 2θ ≤ 80°), by angle:
| 2θ (°) | d (Å) | Rel. int. |
| --- | --- | --- |
| 21.38 | 4.155 | 29.1 |
| 35.27 | 2.544 | 77.8 |
| 41.62 | 2.170 | 100.0 |
| 43.56 | 2.078 | 10.2 |
| 63.29 | 1.469 | 21.7 |
| 67.63 | 1.385 | 19.3 |
| 67.67 | 1.385 | 11.6 |
| 74.60 | 1.272 | 21.6 |